For Pm2PrDyTm2, a structure optimized by DFT (PBE) gives the computed XRD peak list in this record (Cu Kα (λ = 1.5418 Å)).
Intensities are scaled so that the largest is 100.

Most intense lines, 2θ = 15–90°, most intense first:
| 2θ (°) | Rel. int. | h k l |
| --- | --- | --- |
| 31.3 | 100 | 2 2 0 |
| 31.5 | 75 | 0 3 1 |
| 31.6 | 37 | 0 0 2 |
| 45.1 | 37 | 2 4 0 |
| 56.0 | 33 | 0 6 0 |
| 62.2 | 32 | 4 3 1 |

Atomic structure:
a = 7.015 Å, b = 9.845 Å, c = 5.661 Å
α = 90.00°, β = 90.00°, γ = 90.00°
Positions (direct):
Pm1 0.248 0.167 0.000
Pm2 0.252 0.667 0.500
Pm3 0.748 0.333 0.500
Pm4 0.752 0.833 0.000
Pr1 0.000 0.500 0.000
Pr2 0.500 0.000 0.500
Dy1 0.000 0.000 0.500
Dy2 0.500 0.500 0.000
Tm1 0.250 0.333 0.500
Tm2 0.250 0.833 0.000
Tm3 0.750 0.167 0.000
Tm4 0.750 0.667 0.500